Structure and theoretical X-ray diffraction stick pattern of PuPa4Ge2 (a GGA-PBE-relaxed structure; λ = 1.5418 Å (Cu Kα)).
Lines closer than 0.1° are merged.

Top 12 peaks for 10 to 80 degrees two-theta, by angle:
- 22.9°, intensity 97
- 24.7°, intensity 165
- 27.4°, intensity 171
- 36.0°, intensity 1000
- 36.8°, intensity 108
- 38.4°, intensity 198
- 39.8°, intensity 192
- 56.5°, intensity 132
- 62.1°, intensity 96
- 67.9°, intensity 128
- 69.8°, intensity 135
- 76.4°, intensity 85

Crystal structure
abc: 7.7590 9.3684 4.5308
angles: 90.00 90.00 90.00
Atoms (fractional coordinates):
Pu 0.0000 0.0000 0.0000
Pu 0.5000 0.5000 0.0000
Pa 0.2078 0.5000 0.5000
Pa 0.2500 0.2500 0.0000
Pa 0.2500 0.7500 0.0000
Pa 0.2922 0.0000 0.5000
Pa 0.7078 0.0000 0.5000
Pa 0.7500 0.2500 0.0000
Pa 0.7500 0.7500 0.0000
Pa 0.7922 0.5000 0.5000
Ge 0.0000 0.2194 0.5000
Ge 0.0000 0.7806 0.5000
Ge 0.5000 0.2806 0.5000
Ge 0.5000 0.7194 0.5000